Calculated powder diffraction line list
Compound: CsTmGeTe3
Radiation: Cu Ka
Structure: a cell relaxed with GGA-PBE

Atomic structure:
```
24
Lattice="17.933 0.000 0.000 0.000 4.311 0.000 0.000 0.000 12.248" Properties=species:S:1:pos:R:3 pbc="T T T"
Cs 4.057 1.078 0.888
Cs 4.910 3.233 7.012
Cs 13.023 1.078 5.236
Cs 13.877 3.233 11.359
Tm 0.192 3.233 7.941
Tm 8.775 1.078 1.818
Tm 9.158 3.233 10.430
Tm 17.742 1.078 4.306
Ge 0.557 1.078 11.313
Ge 8.410 3.233 5.189
Ge 9.523 1.078 7.059
Ge 17.377 3.233 0.935
Te 1.404 3.233 2.794
Te 1.813 1.078 6.565
Te 2.165 3.233 10.309
Te 6.802 1.078 4.185
Te 7.154 3.233 0.441
Te 7.563 1.078 8.918
Te 10.370 3.233 3.330
Te 10.779 1.078 11.807
Te 11.131 3.233 8.063
Te 15.769 1.078 1.939
Te 16.121 3.233 5.683
Te 16.530 1.078 9.454
```

Peak list (10 most intense, 10 to 90 degrees two-theta, most intense first)
hkl  2θ/deg  d [Å]  intensity
3 1 2  29.41  3.037  100.0
3 0 3  26.48  3.366  93.7
2 1 2  27.18  3.281  93.1
5 0 3  33.27  2.693  74.9
4 0 3  29.61  3.017  61.3
2 1 5  43.68  2.072  52.4
0 2 0  41.91  2.156  43.7
7 0 4  46.23  1.964  36.6
5 1 2  35.72  2.513  30.9
0 1 5  42.44  2.130  30.6